Calculated powder diffractogram
Compound: Li4VGa3O8
Radiation: Cu Kα X-rays
Structure: a DFT-relaxed cell (PBE+U, Alexandria)
Neutral-atom scattering factors, no anomalous dispersion.

Most intense lines, 10 to 90 degrees two-theta, sorted by position:
| 2theta | intensity | index |
| --- | --- | --- |
| 21.10 | 83 | 0 1 1 |
| 22.20 | 100 | 1 0 -1 |
| 27.50 | 29 | 1 -1 1 |
| 31.96 | 49 | 0 1 2 |
| 32.38 | 26 | 0 2 0 |
| 35.29 | 63 | 2 0 0 |
| 36.63 | 52 | 1 -1 2 |
| 37.00 | 25 | 1 2 0 |
| 41.48 | 22 | 2 1 1 |
| 57.49 | 31 | 0 3 2 |

Structural model:
```
data_Li4VGa3O8
_symmetry_space_group_name_H-M 'P 1'
_symmetry_Int_Tables_number 1
_symmetry_space_group_name_Hall 'P 1'
_cell_length_a 5.087
_cell_length_b 5.530
_cell_length_c 6.494
_cell_angle_alpha 90.06
_cell_angle_beta 90.07
_cell_angle_gamma 90.09
loop_
_atom_site_label
_atom_site_type_symbol
_atom_site_fract_x
_atom_site_fract_y
_atom_site_fract_z
Li1 Li 0.000 0.000 0.000
Li2 Li 0.000 0.493 0.254
Li3 Li 0.499 0.833 0.752
Li4 Li 0.500 0.330 0.504
V1 V 0.498 0.830 0.249
Ga1 Ga 0.496 0.332 0.999
Ga2 Ga 0.993 0.998 0.508
Ga3 Ga 0.996 0.498 0.750
O1 O 0.103 0.321 0.518
O2 O 0.104 0.821 0.740
O3 O 0.114 0.847 0.268
O4 O 0.127 0.348 0.988
O5 O 0.603 0.495 0.238
O6 O 0.604 0.011 0.008
O7 O 0.625 0.987 0.497
O8 O 0.627 0.488 0.764
```